Computed PXRD pattern of Pm2NdSm2Tm for CuKα, from a DFT-relaxed cell (GGA-PBE, Alexandria).

Peak list (10 most intense, 2θ = 15–90°, by angle)
- (2 1 1), 2θ = 31.07°, I = 94
- (0 2 0), 2θ = 31.31°, I = 100
- (2 2 2), 2θ = 44.69°, I = 34
- (2 3 1), 2θ = 55.58°, I = 36
- (0 3 3), 2θ = 55.73°, I = 19
- (4 2 0), 2θ = 61.66°, I = 29
- (0 4 0), 2θ = 65.32°, I = 12
- (2 4 2), 2θ = 74.10°, I = 15
- (4 3 3), 2θ = 79.43°, I = 14
- (4 4 0), 2θ = 87.83°, I = 11

Crystal structure
```
data_Pm2NdSm2Tm
_chemical_formula_sum 'Pm4 Nd2 Sm4 Tm2'
_cell_length_a 7.0777
_cell_length_b 5.7121
_cell_length_c 9.8997
_cell_angle_alpha 90.00
_cell_angle_beta 90.00
_cell_angle_gamma 90.00
_space_group_name_H-M_alt 'P m m a'
_space_group_IT_number 51
loop_
_space_group_symop_operation_xyz
'x,y,z'
'-x,-y,-z'
'-x+1/2,-y,z'
'x+1/2,y,-z'
'x+1/2,-y,-z'
'-x+1/2,y,z'
'-x,y,-z'
'x,-y,z'
loop_
_atom_site_label
_atom_site_type_symbol
_atom_site_fract_x
_atom_site_fract_y
_atom_site_fract_z
Pm1 Pm 0.2500 0.0000 0.1551
Pm2 Pm 0.2500 0.5000 0.6790
Nd1 Nd 0.2500 0.0000 0.8261
Sm1 Sm 0.0000 0.0000 0.5000
Sm2 Sm 0.2500 0.5000 0.3404
Tm1 Tm 0.0000 0.5000 0.0000
```



Computed PXRD pattern of PmNdSm3Y for CuKα, from a DFT-relaxed cell (GGA-PBE, Alexandria).

Peak list (10 most intense, 2θ = 15–90°, by angle)
- (2 0 0), 2θ = 29.93°, I = 61
- (1 3 2), 2θ = 31.71°, I = 100
- (2 0 4), 2θ = 42.84°, I = 22
- (3 3 2), 2θ = 54.27°, I = 39
- (2 6 0), 2θ = 57.57°, I = 14
- (2 6 4), 2θ = 66.24°, I = 9
- (4 0 4), 2θ = 70.54°, I = 8
- (3 3 6), 2θ = 71.51°, I = 8
- (5 3 2), 2θ = 87.09°, I = 9
- (4 6 4), 2θ = 89.83°, I = 7

Crystal structure
```
data_PmNdSm3Y
_chemical_formula_sum 'Pm4 Nd4 Sm12 Y4'
_cell_length_a 5.9732
_cell_length_b 11.3811
_cell_length_c 11.9356
_cell_angle_alpha 90.00
_cell_angle_beta 90.00
_cell_angle_gamma 90.00
_space_group_name_H-M_alt 'C m c m'
_space_group_IT_number 63
_space_group_name_Hall '-C 2c 2'
loop_
_atom_site_label
_atom_site_type_symbol
_atom_site_fract_x
_atom_site_fract_y
_atom_site_fract_z
Pm1 Pm 0.0000 0.0244 0.2500
Nd1 Nd 0.0000 0.5000 0.0000
Sm1 Sm 0.0000 0.1721 0.5218
Sm2 Sm 0.0000 0.3544 0.7500
Y1 Y 0.0000 0.3313 0.2500
```



Computed PXRD pattern of PmNdSmY2 for CuKα, from a DFT-relaxed cell (GGA-PBE, Alexandria).

Peak list (10 most intense, 2θ = 15–90°, by angle)
- (2 0 0), 2θ = 20.84°, I = 46
- (2 2 0), 2θ = 25.91°, I = 41
- (1 1 2), 2θ = 27.97°, I = 28
- (0 2 2), 2θ = 29.17°, I = 43
- (0 4 0), 2θ = 30.73°, I = 61
- (3 1 0), 2θ = 32.44°, I = 23
- (2 0 2), 2θ = 32.56°, I = 100
- (1 3 2), 2θ = 35.61°, I = 54
- (3 3 0), 2θ = 39.30°, I = 34
- (2 4 2), 2θ = 45.37°, I = 70

Crystal structure
```
data_PmNdSmY2
_chemical_formula_sum 'Pm4 Nd4 Sm4 Y8'
_cell_length_a 8.5240
_cell_length_b 11.6384
_cell_length_c 7.2002
_cell_angle_alpha 90.00
_cell_angle_beta 90.00
_cell_angle_gamma 90.00
_space_group_name_H-M_alt 'C m c m'
_space_group_IT_number 63
_space_group_name_Hall '-C 2c 2'
loop_
_atom_site_label
_atom_site_type_symbol
_atom_site_fract_x
_atom_site_fract_y
_atom_site_fract_z
Pm1 Pm 0.0000 0.2288 0.2500
Nd1 Nd 0.0000 0.4995 0.2500
Sm1 Sm 0.0000 0.2280 0.7500
Y1 Y 0.1869 0.0000 0.0000
```



Computed PXRD pattern of Pm2NdSm2Y4 for CuKα, from a DFT-relaxed cell (GGA-PBE, Alexandria).

Peak list (10 most intense, 2θ = 15–90°, by angle)
- (3 1 -1), 2θ = 28.49°, I = 45
- (0 0 3), 2θ = 30.73°, I = 49
- (6 0 0), 2θ = 31.47°, I = 100
- (6 0 -3), 2θ = 33.15°, I = 90
- (3 1 2), 2θ = 39.68°, I = 17
- (0 2 0), 2θ = 50.07°, I = 37
- (6 0 -6), 2θ = 57.26°, I = 19
- (9 1 1), 2θ = 59.90°, I = 43
- (6 2 0), 2θ = 60.35°, I = 15
- (9 1 4), 2θ = 85.40°, I = 16

Crystal structure
```
data_Pm2NdSm2Y4
_chemical_formula_sum 'Pm4 Nd2 Sm4 Y8'
_cell_length_a 18.9208
_cell_length_b 3.6457
_cell_length_c 9.6904
_cell_angle_alpha 90.00
_cell_angle_beta 115.74
_cell_angle_gamma 90.00
_space_group_name_H-M_alt 'C 1 2/m 1'
_space_group_IT_number 12
loop_
_space_group_symop_operation_xyz
'x,y,z'
'-x,-y,-z'
'-x,y,-z'
'x,-y,z'
'x+1/2,y+1/2,z'
'-x+1/2,-y+1/2,-z'
'-x+1/2,y+1/2,-z'
'x+1/2,-y+1/2,z'
loop_
_atom_site_label
_atom_site_type_symbol
_atom_site_fract_x
_atom_site_fract_y
_atom_site_fract_z
Pm1 Pm 0.1667 0.0000 0.0007
Nd1 Nd 0.0000 0.5000 0.0000
Sm1 Sm 0.1480 0.5000 0.6651
Y1 Y 0.0194 0.0000 0.3350
Y2 Y 0.1854 0.5000 0.3355
```



Computed PXRD pattern of PmNd2Sm2Y4 for CuKα, from a DFT-relaxed cell (GGA-PBE, Alexandria).

Peak list (10 most intense, 2θ = 15–90°, by angle)
- (6 0 -1), 2θ = 28.47°, I = 45
- (0 0 3), 2θ = 30.70°, I = 49
- (3 1 -2), 2θ = 31.44°, I = 100
- (3 1 1), 2θ = 33.11°, I = 90
- (6 0 -4), 2θ = 39.64°, I = 17
- (0 2 0), 2θ = 50.02°, I = 37
- (3 1 4), 2θ = 57.20°, I = 19
- (9 1 1), 2θ = 59.84°, I = 43
- (12 0 -4), 2θ = 60.29°, I = 15
- (9 1 4), 2θ = 85.30°, I = 16

Crystal structure
```
data_PmNd2Sm2Y4
_chemical_formula_sum 'Pm2 Nd4 Sm4 Y8'
_cell_length_a 18.9378
_cell_length_b 3.6491
_cell_length_c 9.7002
_cell_angle_alpha 90.00
_cell_angle_beta 115.75
_cell_angle_gamma 90.00
_space_group_name_H-M_alt 'C 1 2/m 1'
_space_group_IT_number 12
loop_
_space_group_symop_operation_xyz
'x,y,z'
'-x,-y,-z'
'-x,y,-z'
'x,-y,z'
'x+1/2,y+1/2,z'
'-x+1/2,-y+1/2,-z'
'-x+1/2,y+1/2,-z'
'x+1/2,-y+1/2,z'
loop_
_atom_site_label
_atom_site_type_symbol
_atom_site_fract_x
_atom_site_fract_y
_atom_site_fract_z
Pm1 Pm 0.0000 0.0000 0.0000
Nd1 Nd 0.1662 0.5000 0.0002
Sm1 Sm 0.1478 0.0000 0.6642
Y1 Y 0.0195 0.5000 0.3346
Y2 Y 0.1854 0.0000 0.3355
```



Computed PXRD pattern of Pm3Nd3SmZn2 for CuKα, from a DFT-relaxed cell (GGA-PBE, Alexandria).

Peak list (10 most intense, 2θ = 15–90°, by angle)
- (2 1 0), 2θ = 29.64°, I = 14
- (1 1 1), 2θ = 30.90°, I = 100
- (2 0 1), 2θ = 32.93°, I = 33
- (3 0 0), 2θ = 33.72°, I = 83
- (2 1 1), 2θ = 38.44°, I = 14
- (2 2 1), 2θ = 46.38°, I = 25
- (3 2 1), 2θ = 56.01°, I = 22
- (4 1 1), 2θ = 58.56°, I = 16
- (3 0 2), 2θ = 60.77°, I = 30
- (5 0 1), 2θ = 63.46°, I = 13

Crystal structure
```
data_Pm3Nd3SmZn2
_chemical_formula_sum 'Pm3 Nd3 Sm1 Zn2'
_cell_length_a 9.2086
_cell_length_b 9.2086
_cell_length_c 3.7207
_cell_angle_alpha 90.00
_cell_angle_beta 90.00
_cell_angle_gamma 120.00
_space_group_name_H-M_alt 'P -6 2 m'
_space_group_IT_number 189
_space_group_name_Hall 'P -6 -2'
loop_
_atom_site_label
_atom_site_type_symbol
_atom_site_fract_x
_atom_site_fract_y
_atom_site_fract_z
Pm1 Pm 0.0000 0.3803 0.0000
Nd1 Nd 0.0000 0.6886 0.5000
Sm1 Sm 0.0000 0.0000 0.0000
Zn1 Zn 0.3333 0.6667 0.5000
```



Computed PXRD pattern of PmNd2Sn3 for CuKα, from a DFT-relaxed cell (GGA-PBE, Alexandria).

Peak list (10 most intense, 2θ = 15–90°, by angle)
- (1 3 1), 2θ = 29.87°, I = 100
- (2 0 -2), 2θ = 31.01°, I = 45
- (3 3 -1), 2θ = 34.09°, I = 71
- (0 6 0), 2θ = 36.89°, I = 29
- (4 0 0), 2θ = 42.80°, I = 19
- (2 0 2), 2θ = 48.02°, I = 14
- (2 6 -2), 2θ = 48.94°, I = 26
- (1 3 -3), 2θ = 51.66°, I = 22
- (4 6 0), 2θ = 57.76°, I = 16
- (5 3 -3), 2θ = 59.77°, I = 14

Crystal structure
```
data_PmNd2Sn3
_chemical_formula_sum 'Pm4 Nd8 Sn12'
_cell_length_a 9.4219
_cell_length_b 14.6179
_cell_length_c 5.8869
_cell_angle_alpha 90.00
_cell_angle_beta 116.22
_cell_angle_gamma 90.00
_space_group_name_H-M_alt 'C 1 2/c 1'
_space_group_IT_number 15
loop_
_space_group_symop_operation_xyz
'x,y,z'
'-x,-y,-z'
'-x,y,-z+1/2'
'x,-y,z+1/2'
'x+1/2,y+1/2,z'
'-x+1/2,-y+1/2,-z'
'-x+1/2,y+1/2,-z+1/2'
'x+1/2,-y+1/2,z+1/2'
loop_
_atom_site_label
_atom_site_type_symbol
_atom_site_fract_x
_atom_site_fract_y
_atom_site_fract_z
Pm1 Pm 0.0000 0.0836 0.2500
Nd1 Nd 0.0000 0.2503 0.7500
Nd2 Nd 0.0000 0.4167 0.2500
Sn1 Sn 0.2487 0.0827 0.0013
Sn2 Sn 0.2500 0.2500 0.5000
```



Computed PXRD pattern of Pm3Nd2Sn3 for CuKα, from a DFT-relaxed cell (GGA-PBE, Alexandria).

Peak list (10 most intense, 2θ = 15–90°, by angle)
- (0 0 2), 2θ = 26.17°, I = 18
- (1 0 2), 2θ = 28.47°, I = 19
- (2 1 0), 2θ = 29.45°, I = 31
- (2 1 1), 2θ = 32.31°, I = 100
- (1 1 2), 2θ = 32.63°, I = 77
- (3 0 0), 2θ = 33.50°, I = 40
- (2 2 2), 2θ = 47.46°, I = 20
- (2 1 3), 2θ = 50.19°, I = 29
- (4 0 2), 2θ = 52.97°, I = 13
- (5 0 2), 2θ = 64.14°, I = 18

Crystal structure
```
data_Pm3Nd2Sn3
_chemical_formula_sum 'Pm6 Nd4 Sn6'
_cell_length_a 9.2670
_cell_length_b 9.2670
_cell_length_c 6.8116
_cell_angle_alpha 90.00
_cell_angle_beta 90.00
_cell_angle_gamma 120.00
_space_group_name_H-M_alt 'P 63/m c m'
_space_group_IT_number 193
_space_group_name_Hall '-P 6c 2'
loop_
_atom_site_label
_atom_site_type_symbol
_atom_site_fract_x
_atom_site_fract_y
_atom_site_fract_z
Pm1 Pm 0.0000 0.2409 0.2500
Nd1 Nd 0.3333 0.6667 0.0000
Sn1 Sn 0.0000 0.3932 0.7500
```